Entry 1:
Computed powder diffractogram
Compound: NaCu
Radiation: Cu Kα (λ = 1.5418 Å)
Structure: a GGA-PBE-relaxed structure
No peak broadening, texture or thermal motion is included.

Structure:
```
NaCu
1.0
5.8998 0.0000 0.0000
0.0000 7.0822 0.0000
0.0000 0.0000 7.7276
Na Cu
8 8
Cartesian
0.3084 1.3396 3.6470
0.8842 3.9902 5.2890
2.0657 3.0919 1.4252
2.6415 5.7426 7.5108
3.2583 2.2015 4.0805
3.8341 6.6330 2.4386
5.0156 0.4492 6.3024
5.5914 4.8807 0.2168
0.7639 0.4428 1.0223
0.9700 5.7703 2.8215
1.9799 1.3119 6.6853
2.1860 6.6394 4.8861
3.7138 3.0983 6.7053
3.9199 4.8530 4.9061
4.9297 2.2292 1.0423
5.1359 3.9839 2.8415
```

Most intense lines, 2θ from 15° to 90°, low angle first:
| d [Å] | 2θ (°) | I_rel |
| --- | --- | --- |
| 5.221 | 16.98 | 56 |
| 4.689 | 18.92 | 72 |
| 4.533 | 19.58 | 71 |
| 2.941 | 30.39 | 28 |
| 2.568 | 34.94 | 100 |
| 2.421 | 37.14 | 49 |
| 2.387 | 37.68 | 70 |
| 2.175 | 41.52 | 32 |
| 2.109 | 42.89 | 47 |
| 1.955 | 46.45 | 50 |

Entry 2:
Computed powder diffractogram
Compound: SrPrZnRuO6
Radiation: Cu Kα (λ = 1.5418 Å)
Structure: a GGA-PBE-relaxed structure
No peak broadening, texture or thermal motion is included.

Structure:
```
SrPrZnRuO6
1.0
5.6027 0.0000 0.0000
0.0000 5.7501 0.0000
-5.5979 0.0000 7.9298
Sr Pr Zn Ru O
2 2 2 2 12
Cartesian
0.0000 1.1965 0.0000
-2.7989 4.5536 3.9649
0.1245 1.7687 3.9541
-2.6744 3.9814 7.9190
-2.7462 1.3825 5.9417
0.0527 4.3676 1.9768
2.8481 1.4207 1.9876
0.0491 4.3294 5.9525
-2.2290 1.3318 3.9131
-5.0280 4.4183 7.8780
2.4487 1.5873 0.0605
-0.3503 4.1628 4.0254
1.2244 0.3225 2.3495
-1.5745 5.4276 6.3144
-1.1123 2.7432 6.2972
1.6866 3.0069 2.3323
1.1041 0.2308 5.5783
3.9030 5.5193 1.6134
4.3950 2.6275 1.6814
1.5960 3.1226 5.6463
```

Most intense lines, 2θ from 15° to 90°, low angle first:
| d [Å] | 2θ (°) | I_rel |
| --- | --- | --- |
| 2.875 | 31.11 | 22 |
| 2.820 | 31.73 | 100 |
| 2.801 | 31.95 | 25 |
| 2.006 | 45.19 | 25 |
| 1.982 | 45.77 | 15 |
| 1.649 | 55.74 | 13 |
| 1.632 | 56.37 | 10 |
| 1.621 | 56.79 | 23 |
| 1.618 | 56.90 | 11 |
| 1.410 | 66.28 | 13 |

Entry 3:
Computed powder diffractogram
Compound: ScTaCr2
Radiation: Cu Kα (λ = 1.5418 Å)
Structure: a GGA-PBE-relaxed structure
No peak broadening, texture or thermal motion is included.

Structure:
```
ScTaCr2
1.0
3.1904 0.0000 0.0000
0.0000 4.6736 0.0000
0.0000 0.0000 8.4216
Sc Ta Cr
2 2 4
Cartesian
0.0000 0.0000 0.0000
1.5952 2.3368 4.2108
0.0000 0.0000 4.2108
1.5952 2.3368 0.0000
0.0000 2.3368 2.0188
0.0000 2.3368 6.4028
1.5952 0.0000 2.1920
1.5952 0.0000 6.2296
```

Most intense lines, 2θ from 15° to 90°, low angle first:
| d [Å] | 2θ (°) | I_rel |
| --- | --- | --- |
| 4.211 | 21.10 | 16 |
| 4.086 | 21.75 | 44 |
| 2.983 | 29.95 | 16 |
| 2.337 | 38.53 | 29 |
| 2.234 | 40.38 | 100 |
| 2.106 | 42.94 | 30 |
| 1.564 | 59.05 | 23 |
| 1.329 | 70.94 | 20 |
| 1.239 | 76.97 | 13 |
| 1.117 | 87.30 | 10 |

Entry 4:
Computed powder diffractogram
Compound: BaGe3Pt
Radiation: Cu Kα (λ = 1.5418 Å)
Structure: a GGA-PBE-relaxed structure
No peak broadening, texture or thermal motion is included.

Structure:
```
BaGe3Pt
1.0
0.0000 3.2711 5.2075
3.2674 0.0000 5.2075
3.2674 3.2711 0.0000
Ba Ge Pt
1 3 1
Cartesian
0.0000 0.0000 0.0000
1.6337 1.6355 2.5738
3.2674 3.2711 6.2402
4.9011 4.9066 7.7813
3.2674 3.2711 3.6607
```

Most intense lines, 2θ from 15° to 90°, low angle first:
| d [Å] | 2θ (°) | I_rel |
| --- | --- | --- |
| 4.226 | 21.02 | 26 |
| 3.269 | 27.28 | 31 |
| 2.775 | 32.26 | 100 |
| 2.768 | 32.35 | 25 |
| 2.312 | 38.96 | 60 |
| 2.037 | 44.48 | 23 |
| 1.899 | 47.90 | 19 |
| 1.776 | 51.44 | 40 |
| 1.635 | 56.28 | 21 |
| 1.408 | 66.39 | 22 |

Entry 5:
Computed powder diffractogram
Compound: Mg2TlPb3
Radiation: Cu Kα (λ = 1.5418 Å)
Structure: a GGA-PBE-relaxed structure
No peak broadening, texture or thermal motion is included.

Structure:
```
Mg2TlPb3
1.0
3.5486 0.0000 0.0000
0.0000 3.5486 0.0000
0.0000 0.0000 13.2812
Mg Tl Pb
2 1 3
Cartesian
0.0000 0.0000 2.0744
0.0000 0.0000 11.2068
0.0000 0.0000 6.6406
1.7743 1.7743 0.0000
1.7743 1.7743 4.1038
1.7743 1.7743 9.1775
```

Most intense lines, 2θ from 15° to 90°, low angle first:
| d [Å] | 2θ (°) | I_rel |
| --- | --- | --- |
| 4.427 | 20.06 | 12 |
| 3.549 | 25.09 | 18 |
| 3.428 | 25.99 | 13 |
| 3.130 | 28.52 | 16 |
| 2.769 | 32.33 | 100 |
| 2.509 | 35.78 | 42 |
| 1.774 | 51.51 | 15 |
| 1.673 | 54.87 | 11 |
| 1.660 | 55.35 | 16 |
| 1.494 | 62.13 | 32 |

Entry 6:
Computed powder diffractogram
Compound: Sc4InCu3
Radiation: Cu Kα (λ = 1.5418 Å)
Structure: a GGA-PBE-relaxed structure
No peak broadening, texture or thermal motion is included.

Structure:
```
Sc4InCu3
1.0
2.3649 1.3654 7.7253
-2.3649 1.3654 7.7253
0.0000 -2.7307 7.7253
Sc In Cu
4 1 3
Cartesian
0.0000 0.0000 2.7131
0.0000 0.0000 8.5433
0.0000 0.0000 14.6325
0.0000 0.0000 20.4626
0.0000 0.0000 11.5879
0.0000 0.0000 0.0000
0.0000 0.0000 5.6975
0.0000 0.0000 17.4782
```

Most intense lines, 2θ from 15° to 90°, low angle first:
| d [Å] | 2θ (°) | I_rel |
| --- | --- | --- |
| 3.862 | 23.03 | 2 |
| 3.345 | 26.65 | 11 |
| 2.575 | 34.84 | 3 |
| 2.365 | 38.05 | 100 |
| 1.931 | 47.06 | 4 |
| 1.672 | 54.90 | 16 |
| 1.496 | 62.05 | 5 |
| 1.365 | 68.75 | 29 |
| 1.183 | 81.37 | 9 |
| 1.115 | 87.49 | 3 |

Entry 7:
Computed powder diffractogram
Compound: La2PmScS6
Radiation: Cu Kα (λ = 1.5418 Å)
Structure: a GGA-PBE-relaxed structure
No peak broadening, texture or thermal motion is included.

Structure:
```
La2PmScS6
1.0
6.7626 0.0000 0.0000
0.0000 7.3710 0.0000
-6.5386 0.0000 9.9711
La Pm Sc S
4 2 2 12
Cartesian
-0.1865 0.6789 2.4621
-3.4558 3.0066 7.4477
3.6798 4.3644 2.5234
0.4105 6.6921 7.5089
3.3813 0.0000 0.0000
0.1120 3.6855 4.9855
-3.2693 0.0000 4.9855
0.0000 3.6855 0.0000
-5.4006 1.4485 9.2708
-2.1313 2.2370 4.2852
-4.4748 5.0168 9.2788
-1.2055 6.0397 4.2933
-2.2758 0.3702 7.3600
0.9935 3.3153 2.3745
-0.7695 4.0556 7.5966
2.4998 7.0008 2.6111
1.4295 1.3313 5.6778
4.6988 2.3542 0.6922
2.3553 5.1340 5.6859
5.6246 5.9224 0.7003
```

Most intense lines, 2θ from 15° to 90°, low angle first:
| d [Å] | 2θ (°) | I_rel |
| --- | --- | --- |
| 3.685 | 24.15 | 29 |
| 3.554 | 25.06 | 100 |
| 3.495 | 25.48 | 100 |
| 3.380 | 26.37 | 39 |
| 2.953 | 30.26 | 42 |
| 2.492 | 36.04 | 74 |
| 2.468 | 36.40 | 27 |
| 2.246 | 40.16 | 26 |
| 1.994 | 45.49 | 29 |
| 1.963 | 46.25 | 34 |

Entry 8:
Computed powder diffractogram
Compound: HfSe2Cl12
Radiation: Cu Kα (λ = 1.5418 Å)
Structure: a GGA-PBE-relaxed structure
No peak broadening, texture or thermal motion is included.

Structure:
```
HfSe2Cl12
1.0
0.0000 6.7345 11.2119
6.4009 0.0000 11.2119
6.4009 6.7345 0.0000
Hf Se Cl
2 4 24
Cartesian
0.0000 0.0000 0.0000
3.2004 3.3672 5.6060
9.5894 6.5159 7.4479
6.3890 3.5858 13.0538
3.2124 6.9530 7.4479
6.4128 9.8832 13.0538
7.8617 1.9920 11.3027
8.3342 5.8431 5.7843
4.9359 0.9917 9.5374
4.6655 4.3589 3.9314
8.3083 5.7274 9.0709
1.7354 2.3755 3.9314
11.4708 7.8546 13.0086
4.5314 4.4873 7.4026
8.2704 8.9816 7.4026
7.8344 5.2508 12.9489
5.1337 4.2586 11.3902
4.4676 7.6258 5.7843
8.1405 5.3592 16.9087
5.1078 4.3743 14.6769
7.6681 9.2104 11.3902
4.4935 7.7416 9.0709
7.6940 9.0946 14.6769
1.4650 5.7427 9.5374
4.9674 8.2181 12.9489
11.0348 11.5854 18.5548
8.1679 8.6180 18.5548
7.7319 12.3488 13.0086
4.9401 11.4769 11.3027
4.6613 8.1097 16.9087
```

Most intense lines, 2θ from 15° to 90°, low angle first:
| d [Å] | 2θ (°) | I_rel |
| --- | --- | --- |
| 5.821 | 15.22 | 35 |
| 5.773 | 15.35 | 34 |
| 5.559 | 15.94 | 100 |
| 4.163 | 21.34 | 29 |
| 3.574 | 24.91 | 45 |
| 2.980 | 29.99 | 19 |
| 2.910 | 30.72 | 39 |
| 2.880 | 31.05 | 20 |
| 2.320 | 38.82 | 22 |
| 2.287 | 39.41 | 40 |

Entry 9:
Computed powder diffractogram
Compound: YUS2N
Radiation: Cu Kα (λ = 1.5418 Å)
Structure: a GGA-PBE-relaxed structure
No peak broadening, texture or thermal motion is included.

Structure:
```
YUS2N
1.0
3.8182 0.0000 0.0000
0.0000 3.8182 0.0000
0.0000 0.0000 13.8277
Y U S N
2 2 4 2
Cartesian
0.9545 0.9545 1.6545
2.8636 2.8636 12.1731
0.9545 0.9545 8.1023
2.8636 2.8636 5.7253
0.9545 0.9545 4.2787
0.9545 0.9545 12.5664
2.8636 2.8636 1.2612
2.8636 2.8636 9.5489
0.9545 2.8636 6.9138
2.8636 0.9545 6.9138
```

Most intense lines, 2θ from 15° to 90°, low angle first:
| d [Å] | 2θ (°) | I_rel |
| --- | --- | --- |
| 3.457 | 25.77 | 24 |
| 3.342 | 26.67 | 100 |
| 2.940 | 30.40 | 54 |
| 2.700 | 33.18 | 71 |
| 2.563 | 35.01 | 39 |
| 2.128 | 42.48 | 32 |
| 1.909 | 47.63 | 29 |
| 1.753 | 52.18 | 24 |
| 1.658 | 55.43 | 29 |
| 1.601 | 57.56 | 18 |

Entry 10:
Computed powder diffractogram
Compound: InBi2SbAu4
Radiation: Cu Kα (λ = 1.5418 Å)
Structure: a GGA-PBE-relaxed structure
No peak broadening, texture or thermal motion is included.

Structure:
```
InBi2SbAu4
1.0
0.0000 4.3255 5.7982
3.9919 0.0000 5.7982
3.9919 4.3255 0.0000
In Bi Sb Au
1 2 1 4
Cartesian
0.0000 0.0000 0.0000
1.9960 2.1628 2.8991
5.9879 6.4883 8.6973
3.9919 4.3255 5.7982
1.9960 2.1628 0.0000
3.9919 4.3255 2.8635
1.9960 2.1628 5.7982
3.9919 4.3255 8.7329
```

Most intense lines, 2θ from 15° to 90°, low angle first:
| d [Å] | 2θ (°) | I_rel |
| --- | --- | --- |
| 2.934 | 30.47 | 100 |
| 2.899 | 30.84 | 48 |
| 2.163 | 41.76 | 22 |
| 2.062 | 43.91 | 75 |
| 1.996 | 45.44 | 17 |
| 1.734 | 52.81 | 22 |
| 1.644 | 55.93 | 18 |
| 1.309 | 72.18 | 17 |
| 1.300 | 72.77 | 17 |
| 1.228 | 77.75 | 14 |

Entry 11:
Computed powder diffractogram
Compound: In12GaHg4
Radiation: Cu Kα (λ = 1.5418 Å)
Structure: a GGA-PBE-relaxed structure
No peak broadening, texture or thermal motion is included.

Structure:
```
In12GaHg4
1.0
6.5701 -5.2950 0.0000
6.5701 5.2950 0.0000
-6.5342 0.0000 6.5884
In Ga Hg
12 1 4
Cartesian
-1.0874 0.0000 2.0084
-2.2594 0.0000 4.9618
6.5701 2.8565 0.0000
2.0284 0.0000 1.1041
3.3030 2.6494 3.2942
1.6342 0.0000 4.2819
4.9719 0.0000 2.3065
3.3030 -2.6494 3.2942
4.5776 0.0000 5.4843
6.5701 -2.8565 0.0000
8.8654 0.0000 1.6266
7.6934 0.0000 4.5800
6.5701 0.0000 0.0000
3.2850 2.6475 0.0000
0.0180 2.6475 3.2942
3.2850 -2.6475 0.0000
0.0180 -2.6475 3.2942
```

Most intense lines, 2θ from 15° to 90°, low angle first:
| d [Å] | 2θ (°) | I_rel |
| --- | --- | --- |
| 2.794 | 32.03 | 100 |
| 2.648 | 33.86 | 34 |
| 2.575 | 34.84 | 8 |
| 2.569 | 34.93 | 8 |
| 2.333 | 38.60 | 15 |
| 2.320 | 38.82 | 13 |
| 2.063 | 43.90 | 7 |
| 1.750 | 52.27 | 11 |
| 1.745 | 52.44 | 10 |
| 1.555 | 59.43 | 17 |